[1]
Diffraction record for Y2MgV2O7. The XRD peak list is computed, not measured: it uses DFT lattice parameters and positions (PBE+U) and Cu Kα.
Neutral-atom scattering factors, no anomalous dispersion.

Structural model:
a b c (Å): 5.9247 5.9247 5.5075
angles (deg): 94.29 94.29 111.17
Positions (direct):
Y 0.1795 0.8205 0.0000
Y 0.8205 0.1795 0.0000
Mg 0.5446 0.5446 0.9154
V 0.2222 0.2222 0.5966
V 0.7532 0.7532 0.4059
O 0.0574 0.0574 0.2750
O 0.1487 0.4441 0.8323
O 0.4441 0.1487 0.8323
O 0.5144 0.5144 0.5472
O 0.5516 0.8354 0.1409
O 0.8354 0.5516 0.1409
O 0.9311 0.9311 0.7272

Largest 10 diffraction maxima, by angle, 5° ≤ 2θ ≤ 70°:
2θ/deg, Rel. int.
16.21, 85
24.22, 37
24.45, 100
29.59, 51
30.56, 31
33.91, 29
35.66, 31
43.03, 26
46.83, 52
49.81, 23


[2]
Diffraction record for MgV2ZnO6. The XRD peak list is computed, not measured: it uses DFT lattice parameters and positions (PBE+U) and Cu Kα.
Neutral-atom scattering factors, no anomalous dispersion.

Structural model:
a b c (Å): 5.6656 5.6656 6.2127
angles (deg): 100.75 100.75 37.35
Positions (direct):
Mg 0.0000 0.0000 0.0000
V 0.2752 0.2752 0.8070
V 0.7251 0.7251 0.1895
Zn 0.5003 0.5003 0.4989
O 0.1501 0.1501 0.5938
O 0.1916 0.1916 0.0676
O 0.4539 0.4539 0.7815
O 0.5465 0.5465 0.2160
O 0.8084 0.8084 0.9287
O 0.8508 0.8508 0.4015

Largest 10 diffraction maxima, by angle, 5° ≤ 2θ ≤ 70°:
2θ/deg, Rel. int.
24.44, 44
30.73, 100
30.89, 57
34.08, 31
36.58, 44
50.11, 22
50.30, 28
50.76, 24
55.04, 30
62.44, 20